No. 1
Diffraction record for YNpOs. The XRD peak list is theoretical, not measured: it uses a cell relaxed with PBE and a wavelength of 1.5418 Å.
Peak positions follow from Bragg's law for the DFT cell and can differ from measured ones.

```
data_YNpOs
_cell_length_a 6.824
_cell_length_b 5.785
_cell_length_c 7.520
_cell_angle_alpha 90.00
_cell_angle_beta 107.73
_cell_angle_gamma 90.00
_space_group_name_H-M_alt 'P 1'
_space_group_IT_number 1
_space_group_name_Hall 'P 1'
loop_
_atom_site_label
_atom_site_type_symbol
_atom_site_fract_x
_atom_site_fract_y
_atom_site_fract_z
_atom_site_occupancy
Y1 Y 0.134 0.125 0.359 1
Y2 Y 0.134 0.375 0.859 1
Y3 Y 0.866 0.625 0.141 1
Y4 Y 0.866 0.875 0.641 1
Np1 Np 0.429 0.649 0.296 1
Np2 Np 0.429 0.851 0.796 1
Np3 Np 0.571 0.149 0.204 1
Np4 Np 0.571 0.351 0.704 1
Os1 Os 0.194 0.607 0.517 1
Os2 Os 0.194 0.893 0.017 1
Os3 Os 0.806 0.107 0.983 1
Os4 Os 0.806 0.393 0.483 1
```

Top 6 peaks for 2θ = 5–70°, by angle:
two_theta	Rel. int.
19.73	67
20.55	58
31.99	49
33.41	63
34.76	78
37.71	100



No. 2
Diffraction record for Rb2SmMgF6. The XRD peak list is theoretical, not measured: it uses a cell relaxed with PBE and a wavelength of 1.5418 Å.
Peak positions follow from Bragg's law for the DFT cell and can differ from measured ones.

```
data_Rb2SmMgF6
_cell_length_a 6.254
_cell_length_b 6.254
_cell_length_c 6.254
_cell_angle_alpha 123.09
_cell_angle_beta 115.89
_cell_angle_gamma 91.00
_space_group_name_H-M_alt 'P 1'
_space_group_IT_number 1
_space_group_name_Hall 'P 1'
loop_
_atom_site_label
_atom_site_type_symbol
_atom_site_fract_x
_atom_site_fract_y
_atom_site_fract_z
_atom_site_occupancy
Rb1 Rb 0.241 0.241 0.000 1
Rb2 Rb 0.759 0.759 0.000 1
Sm1 Sm 0.500 0.000 0.500 1
Mg1 Mg 0.000 0.500 0.500 1
F1 F 0.211 0.247 0.458 1
F2 F 0.211 0.753 0.965 1
F3 F 0.238 0.738 0.500 1
F4 F 0.762 0.262 0.500 1
F5 F 0.789 0.247 0.035 1
F6 F 0.789 0.753 0.542 1
```

Top 6 peaks for 2θ = 5–70°, by angle:
two_theta	Rel. int.
18.00	28
26.86	31
28.63	100
40.69	42
48.55	24
59.28	25



No. 3
Diffraction record for Pm3Nd2Sn. The XRD peak list is theoretical, not measured: it uses a cell relaxed with PBE and a wavelength of 1.5418 Å.
Peak positions follow from Bragg's law for the DFT cell and can differ from measured ones.

```
data_Pm3Nd2Sn
_cell_length_a 10.019
_cell_length_b 3.611
_cell_length_c 10.750
_cell_angle_alpha 90.00
_cell_angle_beta 90.19
_cell_angle_gamma 90.00
_space_group_name_H-M_alt 'P 1'
_space_group_IT_number 1
_space_group_name_Hall 'P 1'
loop_
_atom_site_label
_atom_site_type_symbol
_atom_site_fract_x
_atom_site_fract_y
_atom_site_fract_z
_atom_site_occupancy
Pm1 Pm 0.106 0.250 0.406 1
Pm2 Pm 0.355 0.750 0.913 1
Pm3 Pm 0.375 0.750 0.250 1
Pm4 Pm 0.625 0.250 0.750 1
Pm5 Pm 0.645 0.250 0.087 1
Pm6 Pm 0.894 0.750 0.594 1
Nd1 Nd 0.107 0.250 0.094 1
Nd2 Nd 0.355 0.750 0.587 1
Nd3 Nd 0.645 0.250 0.413 1
Nd4 Nd 0.893 0.750 0.906 1
Sn1 Sn 0.127 0.250 0.750 1
Sn2 Sn 0.873 0.750 0.250 1
```

Top 6 peaks for 2θ = 5–70°, by angle:
two_theta	Rel. int.
30.51	100
30.63	49
30.73	48
35.29	70
35.85	29
60.30	29



No. 4
Diffraction record for La3Tb4Pm3. The XRD peak list is theoretical, not measured: it uses a cell relaxed with PBE and a wavelength of 1.5418 Å.
Peak positions follow from Bragg's law for the DFT cell and can differ from measured ones.

```
data_La3Tb4Pm3
_cell_length_a 3.708
_cell_length_b 9.748
_cell_length_c 9.748
_cell_angle_alpha 90.04
_cell_angle_beta 90.00
_cell_angle_gamma 90.00
_space_group_name_H-M_alt 'P 1'
_space_group_IT_number 1
_space_group_name_Hall 'P 1'
loop_
_atom_site_label
_atom_site_type_symbol
_atom_site_fract_x
_atom_site_fract_y
_atom_site_fract_z
_atom_site_occupancy
La1 La 0.000 0.000 0.000 1
La2 La 0.500 0.176 0.672 1
La3 La 0.500 0.672 0.176 1
Tb1 Tb 0.500 0.054 0.300 1
Tb2 Tb 0.500 0.300 0.054 1
Tb3 Tb 0.500 0.552 0.552 1
Tb4 Tb 0.500 0.796 0.796 1
Pm1 Pm 0.000 0.349 0.349 1
Pm2 Pm 0.000 0.500 0.848 1
Pm3 Pm 0.000 0.848 0.500 1
```

Top 6 peaks for 2θ = 5–70°, by angle:
two_theta	Rel. int.
28.97	61
30.29	30
31.68	100
53.96	19
56.59	19
58.06	17



What is the formula in the first record? YNpOs